[1]
Diffraction record for Cd2Ni7. The powder diffraction line list is theoretical, not measured: it uses DFT lattice parameters and positions (GGA-PBE) and λ = 1.5418 Å (Cu Kα).

The 10 most intense peaks (10° ≤ 2θ ≤ 80°), by angle:
2θ 11.84, rel. 321; 2θ 20.79, rel. 125; 2θ 39.40, rel. 139; 2θ 40.35, rel. 139; 2θ 41.17, rel. 259; 2θ 42.20, rel. 1000; 2θ 43.43, rel. 267; 2θ 45.50, rel. 209; 2θ 50.12, rel. 566; 2θ 71.22, rel. 265

Structure:
```
9
Lattice="2.649 0.000 0.000 -1.324 2.294 0.000 0.000 0.000 29.905" Properties=species:S:1:pos:R:3 pbc="T T T"
Cd 0.000 0.000 0.000
Cd 0.000 1.529 16.304
Ni 0.000 0.000 6.239
Ni 0.000 0.000 11.986
Ni 0.000 1.529 4.320
Ni 0.000 1.529 10.069
Ni 1.324 0.765 2.402
Ni 1.324 0.765 8.153
Ni 1.324 0.765 13.912
```

[2]
Diffraction record for Cd7Ni. The powder diffraction line list is theoretical, not measured: it uses DFT lattice parameters and positions (GGA-PBE) and λ = 1.5418 Å (Cu Kα).

The 10 most intense peaks (10° ≤ 2θ ≤ 80°), by angle:
2θ 33.53, rel. 286; 2θ 35.16, rel. 693; 2θ 35.89, rel. 162; 2θ 37.69, rel. 559; 2θ 38.22, rel. 1000; 2θ 38.67, rel. 299; 2θ 39.24, rel. 224; 2θ 57.65, rel. 167; 2θ 59.38, rel. 148; 2θ 71.30, rel. 157

Structure:
```
16
Lattice="1.599 -5.483 0.000 1.599 5.483 0.000 0.000 0.000 18.366" Properties=species:S:1:pos:R:3 pbc="T T T"
Cd 1.599 5.151 11.327
Cd 1.599 5.151 16.222
Cd 1.599 2.811 2.821
Cd 1.599 2.811 6.362
Cd 1.599 1.509 9.509
Cd 1.599 1.509 18.040
Cd 1.599 0.697 13.774
Cd 1.599 -0.697 4.591
Cd 1.599 -1.509 0.326
Cd 1.599 -1.509 8.857
Cd 1.599 -2.811 12.003
Cd 1.599 -2.811 15.545
Cd 1.599 -5.151 2.144
Cd 1.599 -5.151 7.039
Ni 1.599 3.944 13.774
Ni 1.599 -3.944 4.591
```

[3]
Diffraction record for CdNi17. The powder diffraction line list is theoretical, not measured: it uses DFT lattice parameters and positions (GGA-PBE) and λ = 1.5418 Å (Cu Kα).

The 10 most intense peaks (10° ≤ 2θ ≤ 80°), by angle:
2θ 11.36, rel. 196; 2θ 43.57, rel. 235; 2θ 43.86, rel. 247; 2θ 44.77, rel. 1000; 2θ 45.85, rel. 297; 2θ 46.64, rel. 147; 2θ 51.78, rel. 353; 2θ 51.91, rel. 176; 2θ 53.63, rel. 145; 2θ 77.27, rel. 185

Structure:
```
36
Lattice="4.276 0.000 0.000 0.000 4.949 0.000 -0.050 0.000 31.161" Properties=species:S:1:pos:R:3 pbc="T T T"
Cd 0.000 0.000 0.000
Cd 1.397 2.474 17.915
Ni 4.263 2.474 6.941
Ni -0.007 0.000 6.933
Ni -0.014 0.000 12.989
Ni 0.705 1.224 2.883
Ni 0.705 3.725 2.883
Ni 0.700 1.237 8.959
Ni 0.700 3.712 8.959
Ni 0.697 1.254 15.051
Ni 0.697 3.695 15.051
Ni 1.415 2.474 4.922
Ni 1.407 2.474 10.979
Ni 1.421 0.000 4.909
Ni 1.412 0.000 10.973
Ni 1.413 0.000 17.010
Ni 2.127 1.238 6.939
Ni 2.118 1.240 12.994
Ni 2.138 1.265 0.909
Ni 2.138 3.684 0.909
Ni 2.118 3.709 12.994
Ni 2.127 3.711 6.939
Ni 2.806 2.474 15.073
Ni 2.843 2.474 2.910
Ni 2.839 0.000 8.954
Ni 2.836 2.474 8.963
Ni 2.831 0.000 15.011
Ni 2.866 0.000 2.859
Ni 3.535 1.211 17.007
Ni 3.535 3.738 17.007
Ni 3.556 1.235 4.912
Ni 3.548 1.236 10.975
Ni 3.548 3.712 10.975
Ni 3.556 3.714 4.912
Ni 4.268 2.474 0.909
Ni 4.252 2.474 12.999
```

[4]
Diffraction record for CdNi17. The powder diffraction line list is theoretical, not measured: it uses DFT lattice parameters and positions (GGA-PBE) and λ = 1.5418 Å (Cu Kα).

The 10 most intense peaks (10° ≤ 2θ ≤ 80°), by angle:
2θ 11.33, rel. 187; 2θ 43.45, rel. 232; 2θ 43.78, rel. 256; 2θ 44.68, rel. 1000; 2θ 45.76, rel. 328; 2θ 46.51, rel. 153; 2θ 51.70, rel. 529; 2θ 53.54, rel. 219; 2θ 77.04, rel. 278; 2θ 78.20, rel. 124

Structure:
```
36
Lattice="4.953 0.000 0.000 -2.476 4.289 0.000 0.000 0.000 31.243" Properties=species:S:1:pos:R:3 pbc="T T T"
Cd 0.000 0.000 0.000
Cd 0.000 2.859 13.255
Ni 0.000 0.000 18.201
Ni 0.000 0.000 24.276
Ni -1.238 2.145 18.197
Ni -1.238 2.145 24.274
Ni 3.713 2.144 30.311
Ni 0.000 1.425 28.324
Ni -1.242 3.577 28.324
Ni 0.000 1.430 22.245
Ni -1.238 3.574 22.245
Ni 0.000 1.439 16.162
Ni -1.230 3.570 16.162
Ni 1.238 0.715 20.222
Ni 1.238 0.715 26.302
Ni 0.000 2.859 20.220
Ni 0.000 2.859 26.293
Ni 1.241 0.716 14.183
Ni 0.000 4.289 18.197
Ni 0.000 4.288 24.274
Ni 2.476 0.002 30.311
Ni 1.238 2.145 18.197
Ni 1.238 2.145 24.274
Ni 1.240 2.144 30.311
Ni 1.230 3.570 16.162
Ni 2.476 1.430 16.165
Ni 2.476 1.430 22.245
Ni 2.476 1.430 28.333
Ni 1.238 3.574 22.245
Ni 1.242 3.577 28.324
Ni 3.712 0.716 14.183
Ni 3.715 0.715 20.222
Ni 3.714 0.715 26.302
Ni 2.476 2.856 14.183
Ni 2.476 2.860 20.222
Ni 2.476 2.859 26.302
```